# 1
# ZnRe
Computed PXRD pattern, Cu Kα. Input: a DFT-relaxed cell (PBE, Alexandria).

a b c (Å): 2.800 2.800 8.773
angles (deg): 90.00 90.00 120.00
Atoms (fractional coordinates):
Zn  0.333  0.667  0.375
Zn  0.667  0.333  0.625
Re  0.333  0.667  0.882
Re  0.667  0.333  0.118

Most intense lines, 2θ from 10° to 90°, sorted by position:
| 2theta | d_spacing | I_rel |
| --- | --- | --- |
| 10.08 | 8.773 | 745 |
| 37.08 | 2.425 | 247 |
| 38.52 | 2.337 | 160 |
| 41.16 | 2.193 | 241 |
| 42.60 | 2.122 | 1000 |
| 48.79 | 1.867 | 110 |
| 56.58 | 1.627 | 148 |
| 66.83 | 1.400 | 174 |
| 67.79 | 1.382 | 40 |
| 76.00 | 1.252 | 175 |
| 81.58 | 1.180 | 196 |
| 82.56 | 1.169 | 145 |

---

# 2
# Zn4Re5
Computed PXRD pattern, Cu Kα. Input: a DFT-relaxed cell (PBE, Alexandria).

a b c (Å): 6.609 6.609 6.609
angles (deg): 93.39 93.39 151.85
Atoms (fractional coordinates):
Zn  0.000  0.335  0.335
Zn  0.000  0.665  0.665
Zn  0.335  0.000  0.335
Zn  0.665  0.000  0.665
Re  0.000  0.000  0.000
Re  0.329  0.329  0.658
Re  0.329  0.671  0.000
Re  0.671  0.329  0.000
Re  0.671  0.671  0.342

Most intense lines, 2θ from 10° to 90°, sorted by position:
| 2theta | d_spacing | I_rel |
| --- | --- | --- |
| 13.81 | 6.411 | 199 |
| 19.58 | 4.533 | 46 |
| 27.83 | 3.205 | 69 |
| 35.64 | 2.519 | 110 |
| 40.99 | 2.202 | 1000 |
| 42.29 | 2.137 | 456 |
| 57.33 | 1.607 | 94 |
| 61.35 | 1.511 | 150 |
| 62.25 | 1.491 | 39 |
| 73.77 | 1.284 | 175 |
| 76.45 | 1.246 | 312 |
| 88.90 | 1.101 | 111 |

---

# 3
# ZnRe5
Computed PXRD pattern, Cu Kα. Input: a DFT-relaxed cell (PBE, Alexandria).

a b c (Å): 4.440 7.289 7.289
angles (deg): 22.15 90.00 90.00
Atoms (fractional coordinates):
Zn  0.000  0.000  0.000
Re  0.000  0.330  0.330
Re  0.000  0.664  0.664
Re  0.500  0.222  0.222
Re  0.500  0.554  0.554
Re  0.500  0.890  0.890

Most intense lines, 2θ from 10° to 90°, sorted by position:
| 2theta | d_spacing | I_rel |
| --- | --- | --- |
| 37.23 | 2.415 | 275 |
| 37.73 | 2.384 | 105 |
| 40.64 | 2.220 | 386 |
| 42.62 | 2.121 | 1000 |
| 43.06 | 2.101 | 519 |
| 56.29 | 1.634 | 168 |
| 67.79 | 1.382 | 171 |
| 75.32 | 1.262 | 187 |
| 75.62 | 1.257 | 100 |
| 81.23 | 1.184 | 105 |
| 82.13 | 1.174 | 203 |
| 82.85 | 1.165 | 159 |

---

What did the first record say?
# ZnRe
Computed PXRD pattern, Cu Kα. Input: a DFT-relaxed cell (PBE, Alexandria).

a b c (Å): 2.800 2.800 8.773
angles (deg): 90.00 90.00 120.00
Atoms (fractional coordinates):
Zn  0.333  0.667  0.375
Zn  0.667  0.333  0.625
Re  0.333  0.667  0.882
Re  0.667  0.333  0.118

Most intense lines, 2θ from 10° to 90°, sorted by position:
| 2theta | d_spacing | I_rel |
| --- | --- | --- |
| 10.08 | 8.773 | 745 |
| 37.08 | 2.425 | 247 |
| 38.52 | 2.337 | 160 |
| 41.16 | 2.193 | 241 |
| 42.60 | 2.122 | 1000 |
| 48.79 | 1.867 | 110 |
| 56.58 | 1.627 | 148 |
| 66.83 | 1.400 | 174 |
| 67.79 | 1.382 | 40 |
| 76.00 | 1.252 | 175 |
| 81.58 | 1.180 | 196 |
| 82.56 | 1.169 | 145 |